(1)
Al2PdO4: calculated X-ray powder pattern (copper Kα), based on the PBE geometry in OQMD.
Lines closer than 0.1° are merged.

The 10 most intense peaks (2θ from 10° to 90°), low angle first:
- d 5.711, 15.52°, rel. 100, hkl 1 0 0
- d 2.855, 31.33°, rel. 27, hkl 2 0 0
- d 2.642, 33.94°, rel. 8, hkl 0 0 2
- d 2.554, 35.14°, rel. 21, hkl 2 1 0
- d 2.398, 37.51°, rel. 22, hkl 1 0 2
- d 2.299, 39.18°, rel. 7, hkl 2 1 1
- d 2.211, 40.82°, rel. 27, hkl 1 1 2
- d 2.019, 44.89°, rel. 14, hkl 2 2 0
- d 1.836, 49.65°, rel. 16, hkl 2 1 2
- d 1.491, 62.28°, rel. 27, hkl 3 1 2

Cell and atoms:
Cell lengths 5.7109, 5.7109, 5.2833 Å; angles 90.00, 90.00, 90.00 degrees
Space group P4/mcc (No. 124)
Inequivalent atoms, fractional coordinates:
Al 0.0000 0.5000 0.2500
Pd 0.0000 0.0000 0.0000
O 0.1409 0.3335 0.0000


(2)
BaTlPdPb: calculated X-ray powder pattern (copper Kα), based on the PBE geometry in OQMD.
Lines closer than 0.1° are merged.

The 10 most intense peaks (2θ from 10° to 90°), low angle first:
- d 5.936, 14.92°, rel. 27, hkl 0 1 0
- d 3.023, 29.54°, rel. 100, hkl 1 1 2
- d 3.013, 29.65°, rel. 75, hkl 1 2 0
- d 2.840, 31.51°, rel. 36, hkl 1 2 1
- d 2.459, 36.54°, rel. 25, hkl -1 1 2
- d 2.448, 36.72°, rel. 27, hkl 1 -1 2
- d 2.361, 38.11°, rel. 57, hkl 1 1 3
- d 2.324, 38.75°, rel. 49, hkl 2 1 0
- d 1.788, 51.10°, rel. 23, hkl 0 3 -2
- d 1.593, 57.88°, rel. 24, hkl 1 4 0

Cell and atoms:
Cell lengths 4.6471, 6.3736, 8.4519 Å; angles 89.66, 90.00, 68.64 degrees
Space group P-1 (No. 2)
Inequivalent atoms, fractional coordinates:
Ba 0.0587 0.3837 0.2567
Tl 0.3458 0.8077 0.4473
Pd 0.2211 0.0585 0.7530
Pb 0.3446 0.8104 0.0536


(3)
SrHf7O15: calculated X-ray powder pattern (copper Kα), based on the PBE geometry in OQMD.
Lines closer than 0.1° are merged.

The 10 most intense peaks (2θ from 10° to 90°), low angle first:
- d 3.110, 28.70°, rel. 100, hkl 0 2 2
- d 2.952, 30.28°, rel. 91, hkl 2 0 2
- d 2.924, 30.58°, rel. 91, hkl 2 0 -2
- d 2.914, 30.69°, rel. 89, hkl 0 2 -2
- d 2.580, 34.78°, rel. 85, hkl 2 2 0
- d 2.562, 35.03°, rel. 44, hkl 2 -2 0
- d 1.855, 49.12°, rel. 27, hkl -2 2 4
- d 1.787, 51.11°, rel. 28, hkl 4 0 0
- d 1.782, 51.27°, rel. 26, hkl 2 -2 4
- d 1.523, 60.80°, rel. 26, hkl 4 -2 2

Cell and atoms:
Cell lengths 7.1496, 7.4211, 10.3379 Å; angles 86.05, 89.38, 89.53 degrees
Space group P1 (No. 1)
Inequivalent atoms, fractional coordinates:
Sr 0.0000 0.0000 0.0000
Sr 0.0009 0.4982 0.4672
Hf 0.9996 0.4769 0.9802
Hf 0.0010 0.0077 0.5186
Hf 0.2365 0.7175 0.7267
Hf 0.2413 0.2529 0.7369
Hf 0.2517 0.2750 0.2297
Hf 0.2757 0.7714 0.2739
Hf 0.4966 0.5324 0.9979
Hf 0.4984 0.9962 0.5145
Hf 0.5013 0.5082 0.4992
Hf 0.5019 0.9974 0.0139
Hf 0.7317 0.7187 0.2376
Hf 0.7435 0.7154 0.7367
Hf 0.7476 0.2090 0.2624
Hf 0.7564 0.2491 0.7356
O 0.0353 0.2077 0.3583
O 0.2234 0.5068 0.0976
O 0.2378 0.9031 0.4375
O 0.2546 0.9937 0.6666
O 0.2566 0.4971 0.6143
O 0.2686 0.0135 0.1593
O 0.2938 0.4909 0.8560
O 0.3015 0.4988 0.3487
O 0.3081 0.1156 0.9035
O 0.4642 0.1781 0.3576
O 0.4751 0.7370 0.1276
O 0.4955 0.7341 0.6215
O 0.5010 0.2469 0.6179
O 0.5108 0.7834 0.8777
O 0.5257 0.2885 0.1126
O 0.5340 0.7591 0.3809
O 0.6940 0.4710 0.8566
O 0.7041 0.0949 0.8986
O 0.7090 0.4594 0.3443
O 0.7247 0.9802 0.1565
O 0.7377 0.9859 0.6609
O 0.7404 0.5003 0.6160
O 0.7602 0.0134 0.4168
O 0.7812 0.5960 0.0734
O 0.9620 0.2721 0.1224
O 0.9918 0.7513 0.6164
O 0.9980 0.2292 0.6198
O 0.9984 0.7246 0.8612
O 0.9990 0.2894 0.8465
O 0.9985 0.7392 0.2793